Computed powder diffraction line list
Compound: TlHgBF6
Radiation: a wavelength of 1.5418 Å
Structure: a DFT-relaxed cell (PBE, Alexandria)
Intensities are scaled so that the largest is 100.

Cell and atoms:
abc: 4.8687 12.9091 5.8471
angles: 90.00 97.36 90.00
Space group C2 (No. 5)
Inequivalent atoms, fractional coordinates:
Tl (0.0000, 0.0000, 0.0000) (multiplicity 2)
Hg (0.0000, 0.3234, 0.5000) (multiplicity 2)
B (0.0000, 0.5912, 0.5000) (multiplicity 2)
F (0.1102, 0.5256, 0.3360) (multiplicity 4)
F (0.2046, 0.8318, 0.2257) (multiplicity 4)
F (0.2133, 0.6519, 0.6173) (multiplicity 4)

Principal peaks in the range 2θ = 5–70°, low angle first:
(0 2 0), 2θ = 13.7°, d 6.455, I = 29; (1 1 0), 2θ = 19.6°, d 4.523, I = 29; (0 2 1), 2θ = 20.6°, d 4.314, I = 98; (1 1 -1), 2θ = 23.4°, d 3.794, I = 100; (1 1 1), 2θ = 26.4°, d 3.375, I = 61; (1 3 0), 2θ = 27.8°, d 3.212, I = 64; (0 4 1), 2θ = 31.7°, d 2.820, I = 34; (1 3 -2), 2θ = 40.1°, d 2.250, I = 38; (2 2 -1), 2θ = 41.1°, d 2.198, I = 23; (1 5 -1), 2θ = 41.7°, d 2.164, I = 23

Computed powder diffraction line list
Compound: La2Ni2Sn3
Radiation: a wavelength of 1.5418 Å
Structure: a DFT-relaxed cell (PBE, Alexandria)
Intensities are scaled so that the largest is 100.

Cell and atoms:
abc: 4.6199 19.7528 7.2664
angles: 90.00 90.00 90.00
Space group Cmcm (No. 63)
Inequivalent atoms, fractional coordinates:
La (0.0000, 0.0427, 0.2500) (multiplicity 4)
La (0.0000, 0.1659, 0.7500) (multiplicity 4)
Ni (0.0000, 0.2957, 0.5557) (multiplicity 8)
Sn (0.0000, 0.2166, 0.2500) (multiplicity 4)
Sn (0.0000, 0.4268, 0.0500) (multiplicity 8)

Principal peaks in the range 2θ = 5–70°, low angle first:
(0 6 1), 2θ = 29.8°, d 3.000, I = 41; (1 1 2), 2θ = 31.7°, d 2.826, I = 100; (1 5 1), 2θ = 32.3°, d 2.775, I = 68; (0 8 0), 2θ = 36.4°, d 2.469, I = 19; (2 0 0), 2θ = 39.0°, d 2.311, I = 54; (0 4 3), 2θ = 41.5°, d 2.175, I = 25; (1 7 2), 2θ = 45.2°, d 2.007, I = 29; (2 4 3), 2θ = 58.3°, d 1.583, I = 18; (3 1 2), 2θ = 66.0°, d 1.415, I = 17; (1 11 3), 2θ = 68.1°, d 1.377, I = 17

Computed powder diffraction line list
Compound: Ac6ZnAg2
Radiation: a wavelength of 1.5418 Å
Structure: a DFT-relaxed cell (PBE, Alexandria)
Intensities are scaled so that the largest is 100.

Cell and atoms:
abc: 10.7954 10.8331 11.1219
angles: 90.00 90.00 90.00
Space group Immm (No. 71)
Inequivalent atoms, fractional coordinates:
Ac (0.0000, 0.2106, 0.1725) (multiplicity 8)
Ac (0.1743, 0.2369, 0.5000) (multiplicity 8)
Ac (0.1897, 0.5000, 0.2469) (multiplicity 8)
Zn (0.0000, 0.5000, 0.0000) (multiplicity 2)
Zn (0.0000, 0.5000, 0.5000) (multiplicity 2)
Ag (0.0000, 0.0000, 0.3741) (multiplicity 4)
Ag (0.1480, 0.0000, 0.0000) (multiplicity 4)

Principal peaks in the range 2θ = 5–70°, low angle first:
(0 2 2), 2θ = 22.9°, d 3.880, I = 30; (1 0 3), 2θ = 25.4°, d 3.506, I = 24; (3 0 1), 2θ = 26.0°, d 3.424, I = 32; (2 2 2), 2θ = 28.3°, d 3.151, I = 100; (1 2 3), 2θ = 30.4°, d 2.943, I = 64; (3 1 2), 2θ = 30.7°, d 2.911, I = 63; (3 2 1), 2θ = 30.9°, d 2.895, I = 87; (0 4 0), 2θ = 33.1°, d 2.708, I = 48; (2 0 4), 2θ = 36.3°, d 2.472, I = 27; (3 5 2), 2θ = 51.9°, d 1.760, I = 33

Computed powder diffraction line list
Compound: NaTlHgCl4
Radiation: a wavelength of 1.5418 Å
Structure: a DFT-relaxed cell (PBE, Alexandria)
Intensities are scaled so that the largest is 100.

Cell and atoms:
abc: 7.2836 7.3755 8.5366
angles: 90.00 106.04 90.00
Space group P2_1/m (No. 11)
Inequivalent atoms, fractional coordinates:
Na (0.1996, 0.2500, 0.0527) (multiplicity 2)
Tl (0.2284, 0.2500, 0.5492) (multiplicity 2)
Hg (0.2601, 0.7500, 0.8331) (multiplicity 2)
Cl (0.0054, 0.0002, 0.7802) (multiplicity 4)
Cl (0.4778, 0.7500, 0.6488) (multiplicity 2)
Cl (0.4934, 0.2500, 0.8952) (multiplicity 2)

Principal peaks in the range 2θ = 5–70°, low angle first:
(1 0 -1), 2θ = 14.2°, d 6.245, I = 100; (1 1 -1), 2θ = 18.6°, d 4.766, I = 98; (1 1 1), 2θ = 22.4°, d 3.976, I = 93; (0 2 0), 2θ = 24.1°, d 3.688, I = 86; (0 1 2), 2θ = 24.8°, d 3.586, I = 52; (1 2 -1), 2θ = 28.1°, d 3.175, I = 49; (1 1 2), 2θ = 30.6°, d 2.918, I = 69; (2 1 -2), 2θ = 31.1°, d 2.875, I = 82; (2 2 0), 2θ = 35.4°, d 2.539, I = 62; (0 4 0), 2θ = 49.4°, d 1.845, I = 45

Computed powder diffraction line list
Compound: Sm2YHo5Tm
Radiation: a wavelength of 1.5418 Å
Structure: a DFT-relaxed cell (PBE, Alexandria)
Intensities are scaled so that the largest is 100.

Cell and atoms:
abc: 8.6021 8.6021 15.5490
angles: 90.00 90.00 90.00
Space group I4/mcm (No. 140)
Inequivalent atoms, fractional coordinates:
Sm (0.1173, 0.3827, 0.0000) (multiplicity 8)
Y (0.0000, 0.0000, 0.2500) (multiplicity 4)
Ho (0.0000, 0.0000, 0.0000) (multiplicity 4)
Ho (0.2114, 0.2886, 0.3606) (multiplicity 16)
Tm (0.0000, 0.5000, 0.2500) (multiplicity 4)

Principal peaks in the range 2θ = 5–70°, low angle first:
(2 1 3), 2θ = 28.9°, d 3.089, I = 51; (2 2 0), 2θ = 29.4°, d 3.041, I = 51; (2 0 4), 2θ = 31.0°, d 2.884, I = 100; (3 1 2), 2θ = 34.9°, d 2.568, I = 19; (3 2 1), 2θ = 38.2°, d 2.358, I = 17; (0 0 8), 2θ = 46.7°, d 1.944, I = 12; (4 1 3), 2θ = 46.9°, d 1.935, I = 11; (4 2 4), 2θ = 53.1°, d 1.724, I = 22; (2 2 8), 2θ = 56.2°, d 1.638, I = 12; (4 4 0), 2θ = 60.9°, d 1.521, I = 16

Computed powder diffraction line list
Compound: Ca2TcAgO6
Radiation: a wavelength of 1.5418 Å
Structure: a DFT-relaxed cell (PBE, Alexandria)
Intensities are scaled so that the largest is 100.

Cell and atoms:
abc: 5.7310 5.7310 15.2030
angles: 90.00 90.00 120.00
Space group R3 (No. 146, hexagonal axes)
Inequivalent atoms, fractional coordinates:
Ca (0.0000, 0.0000, 0.0000) (multiplicity 3)
Ca (0.0000, 0.0000, 0.4957) (multiplicity 3)
Tc (0.0000, 0.0000, 0.6993) (multiplicity 3)
Ag (0.0000, 0.0000, 0.2459) (multiplicity 3)
O (0.0030, 0.7377, 0.6128) (multiplicity 9)
O (0.0170, 0.2893, 0.7579) (multiplicity 9)

Principal peaks in the range 2θ = 5–70°, low angle first:
(0 0 3), 2θ = 17.5°, d 5.068, I = 22; (0 1 2), 2θ = 21.4°, d 4.156, I = 73; (1 0 4), 2θ = 29.6°, d 3.018, I = 100; (1 1 0), 2θ = 31.2°, d 2.866, I = 94; (0 1 5), 2θ = 34.6°, d 2.593, I = 20; (2 -1 3), 2θ = 36.0°, d 2.494, I = 25; (0 2 4), 2θ = 43.6°, d 2.078, I = 38; (3 -1 4), 2θ = 54.6°, d 1.682, I = 37; (3 0 0), 2θ = 55.5°, d 1.654, I = 31; (1 1 9), 2θ = 64.0°, d 1.455, I = 20

Computed powder diffraction line list
Compound: Dy4PaP5
Radiation: a wavelength of 1.5418 Å
Structure: a DFT-relaxed cell (PBE, Alexandria)
Intensities are scaled so that the largest is 100.

Cell and atoms:
abc: 8.9258 8.9258 5.6485
angles: 90.00 90.00 90.00
Space group I4/m (No. 87)
Inequivalent atoms, fractional coordinates:
Dy (0.0990, 0.6979, 0.0000) (multiplicity 8)
Pa (0.0000, 0.0000, 0.5000) (multiplicity 2)
P (0.0000, 0.0000, 0.0000) (multiplicity 2)
P (0.0978, 0.7053, 0.5000) (multiplicity 8)

Principal peaks in the range 2θ = 5–70°, low angle first:
(1 1 0), 2θ = 14.0°, d 6.312, I = 1; (1 0 1), 2θ = 18.6°, d 4.773, I = 2; (2 0 0), 2θ = 19.9°, d 4.463, I = 1; (1 2 1), 2θ = 27.4°, d 3.260, I = 93; (3 1 0), 2θ = 31.7°, d 2.823, I = 100; (3 2 1), 2θ = 39.8°, d 2.267, I = 1; (3 1 2), 2θ = 45.4°, d 1.996, I = 73; (5 0 1), 2θ = 53.9°, d 1.702, I = 46; (2 4 2), 2θ = 56.5°, d 1.630, I = 26; (0 0 4), 2θ = 66.2°, d 1.412, I = 12

Computed powder diffraction line list
Compound: LaMg6Ag6
Radiation: a wavelength of 1.5418 Å
Structure: a DFT-relaxed cell (PBE, Alexandria)
Intensities are scaled so that the largest is 100.

Cell and atoms:
abc: 5.6542 9.6061 10.0002
angles: 90.00 90.00 90.00
Space group Immm (No. 71)
Inequivalent atoms, fractional coordinates:
La (0.0000, 0.0000, 0.0000) (multiplicity 2)
Mg (0.0000, 0.0000, 0.3478) (multiplicity 4)
Mg (0.0000, 0.3434, 0.0000) (multiplicity 4)
Mg (0.0000, 0.5000, 0.3028) (multiplicity 4)
Ag (0.0000, 0.2763, 0.5000) (multiplicity 4)
Ag (0.2500, 0.2500, 0.2500) (multiplicity 8)

Principal peaks in the range 2θ = 5–70°, low angle first:
(0 2 0), 2θ = 18.5°, d 4.803, I = 54; (0 2 2), 2θ = 25.7°, d 3.464, I = 22; (1 2 1), 2θ = 25.9°, d 3.438, I = 39; (0 0 4), 2θ = 35.9°, d 2.500, I = 36; (2 0 2), 2θ = 36.5°, d 2.462, I = 100; (2 2 0), 2θ = 36.9°, d 2.435, I = 40; (0 4 0), 2θ = 37.4°, d 2.402, I = 32; (0 2 4), 2θ = 40.7°, d 2.218, I = 24; (2 2 2), 2θ = 41.2°, d 2.190, I = 51; (2 4 2), 2θ = 53.3°, d 1.719, I = 29